(1)
This entry pairs a crystal structure of Fe3As5Au with its simulated powder diffraction line list. Radiation: Cu Ka. Structure: a crystal structure in OQMD, relaxed with GGA-PBE.
Peak positions follow from Bragg's law for the DFT cell and can differ from measured ones.

Structural model:
Unit cell a=4.9450 b=4.9450 c=7.3279 alpha=90.00 beta=90.00 gamma=120.00
Sites, in units of the cell vectors:
Fe1 0.0000 0.5000 0.0000
Fe2 0.5000 0.0000 0.0000
Fe3 0.5000 0.5000 0.0000
As1 0.0000 0.0000 0.0000
As2 0.3333 0.6667 0.2825
As3 0.3333 0.6667 0.7175
As4 0.6667 0.3333 0.2825
As5 0.6667 0.3333 0.7175
Au1 0.0000 0.0000 0.5000

The 10 most intense peaks (2θ = 10–80°), by angle:
d [Å]  I (rel.)
3.697  35
2.784  100
2.473  78
2.343  28
2.122  26
1.849  82
1.832  17
1.481  30
1.472  21
1.236  17

***

(2)
This entry pairs a crystal structure of H3Pt with its simulated powder diffraction line list. Radiation: Cu Ka. Structure: a crystal structure in OQMD, relaxed with GGA-PBE.
Peak positions follow from Bragg's law for the DFT cell and can differ from measured ones.

Structural model:
Unit cell a=5.6841 b=5.6841 c=6.2709 alpha=90.00 beta=90.00 gamma=120.00
Sites, in units of the cell vectors:
H1 0.0000 0.0000 0.0000
H2 0.0000 0.0000 0.5000
H3 0.0000 0.2294 0.2576
H4 0.0000 0.4570 0.7244
H5 0.0000 0.5430 0.2244
H6 0.0000 0.7706 0.7576
H7 0.2294 0.0000 0.2576
H8 0.2294 0.2294 0.7576
H9 0.3333 0.6667 0.4986
H10 0.3333 0.6667 0.9986
H11 0.4570 0.0000 0.7244
H12 0.4570 0.4570 0.2244
H13 0.5430 0.0000 0.2244
H14 0.5430 0.5430 0.7244
H15 0.6667 0.3333 0.4986
H16 0.6667 0.3333 0.9986
H17 0.7706 0.0000 0.7576
H18 0.7706 0.7706 0.2576
Pt1 0.0000 0.3497 0.0198
Pt2 0.0000 0.6503 0.5198
Pt3 0.3497 0.0000 0.0198
Pt4 0.3497 0.3497 0.5198
Pt5 0.6503 0.0000 0.5198
Pt6 0.6503 0.6503 0.0198

The 10 most intense peaks (2θ = 10–80°), by angle:
d [Å]  I (rel.)
3.135  37
2.842  21
2.589  100
2.106  18
1.684  28
1.641  17
1.568  5
1.454  22
1.386  14
1.373  5

***

(3)
This entry pairs a crystal structure of Gd2SiO5 with its simulated powder diffraction line list. Radiation: Cu Ka. Structure: a crystal structure in OQMD, relaxed with GGA-PBE.
Peak positions follow from Bragg's law for the DFT cell and can differ from measured ones.

Structural model:
Unit cell a=9.0664 b=6.9047 c=6.7155 alpha=90.00 beta=106.41 gamma=90.00
Sites, in units of the cell vectors:
Gd1 0.0272 0.1252 0.2335
Gd2 0.0272 0.3748 0.7335
Gd3 0.3805 0.1411 0.0705
Gd4 0.3805 0.3589 0.5705
Gd5 0.6195 0.6411 0.4295
Gd6 0.6195 0.8589 0.9295
Gd7 0.9728 0.6252 0.2665
Gd8 0.9728 0.8748 0.7665
Si1 0.2983 0.5897 0.0326
Si2 0.2983 0.9103 0.5326
Si3 0.7017 0.0897 0.4674
Si4 0.7017 0.4103 0.9674
O1 0.1135 0.6358 0.9942
O2 0.1135 0.8642 0.4942
O3 0.1168 0.1180 0.9442
O4 0.1168 0.3820 0.4442
O5 0.2933 0.0702 0.3465
O6 0.2933 0.4298 0.8465
O7 0.3734 0.0465 0.7344
O8 0.3734 0.4535 0.2344
O9 0.3963 0.7181 0.5305
O10 0.3963 0.7819 0.0305
O11 0.6037 0.2181 0.9695
O12 0.6037 0.2819 0.4695
O13 0.6266 0.5465 0.7656
O14 0.6266 0.9535 0.2656
O15 0.7067 0.5702 0.1535
O16 0.7067 0.9298 0.6535
O17 0.8832 0.6180 0.5558
O18 0.8832 0.8820 0.0558
O19 0.8865 0.1358 0.5058
O20 0.8865 0.3642 0.0058

The 10 most intense peaks (2θ = 10–80°), by angle:
d [Å]  I (rel.)
5.408  54
4.349  36
3.043  90
3.030  70
2.899  59
2.775  83
2.760  79
2.668  100
1.972  51
1.877  52

***

(4)
This entry pairs a crystal structure of Li2Cd3GaAu2 with its simulated powder diffraction line list. Radiation: Cu Ka. Structure: a crystal structure in OQMD, relaxed with GGA-PBE.
Peak positions follow from Bragg's law for the DFT cell and can differ from measured ones.

Structural model:
Unit cell a=4.6386 b=4.6386 c=6.6037 alpha=90.00 beta=90.00 gamma=90.00
Sites, in units of the cell vectors:
Li1 0.0000 0.5000 0.2399
Li2 0.5000 0.0000 0.7601
Cd1 0.0000 0.0000 0.0000
Cd2 0.0000 0.0000 0.5000
Cd3 0.5000 0.5000 0.5000
Ga1 0.5000 0.5000 0.0000
Au1 0.0000 0.5000 0.7663
Au2 0.5000 0.0000 0.2337

The 10 most intense peaks (2θ = 10–80°), by angle:
d [Å]  I (rel.)
3.796  80
2.327  100
2.319  51
1.989  13
1.979  28
1.651  8
1.640  17
1.510  11
1.345  16
1.341  34

***

(5)
This entry pairs a crystal structure of Ni4C3 with its simulated powder diffraction line list. Radiation: Cu Ka. Structure: a crystal structure in OQMD, relaxed with GGA-PBE.
Peak positions follow from Bragg's law for the DFT cell and can differ from measured ones.

Structural model:
Unit cell a=3.9712 b=3.9712 c=8.6397 alpha=96.00 beta=96.00 gamma=73.58
Sites, in units of the cell vectors:
Ni1 0.1863 0.6889 0.5339
Ni2 0.2506 0.2561 0.2396
Ni3 0.2561 0.2506 0.7396
Ni4 0.3111 0.8137 0.9661
Ni5 0.6889 0.1863 0.0339
Ni6 0.7439 0.7494 0.2604
Ni7 0.7494 0.7439 0.7604
Ni8 0.8137 0.3111 0.4661
C1 0.1468 0.3598 0.0157
C2 0.2372 0.7628 0.7500
C3 0.3598 0.1468 0.5157
C4 0.6402 0.8532 0.4843
C5 0.7628 0.2372 0.2500
C6 0.8532 0.6402 0.9843

The 10 most intense peaks (2θ = 10–80°), by angle:
d [Å]  I (rel.)
3.577  43
2.714  41
2.394  69
2.374  22
2.141  57
2.079  100
1.926  32
1.899  75
1.691  15
1.368  31

***

(6)
This entry pairs a crystal structure of NdGdMg6Ge3 with its simulated powder diffraction line list. Radiation: Cu Ka. Structure: a crystal structure in OQMD, relaxed with GGA-PBE.
Peak positions follow from Bragg's law for the DFT cell and can differ from measured ones.

Structural model:
Unit cell a=8.1791 b=8.1791 c=4.3061 alpha=90.00 beta=90.00 gamma=120.00
Sites, in units of the cell vectors:
Nd1 0.0000 0.0000 0.0000
Gd1 0.6667 0.3333 0.0000
Mg1 0.0468 0.6681 0.5000
Mg2 0.1263 0.4621 0.0000
Mg3 0.3319 0.3787 0.5000
Mg4 0.3358 0.8737 0.0000
Mg5 0.5379 0.6642 0.0000
Mg6 0.6213 0.9532 0.5000
Ge1 0.3387 0.0631 0.5000
Ge2 0.7244 0.6613 0.5000
Ge3 0.9369 0.2756 0.5000

The 10 most intense peaks (2θ = 10–80°), by angle:
d [Å]  I (rel.)
7.083  39
4.090  26
2.965  100
2.735  29
2.677  19
2.361  33
2.274  31
2.153  17
1.591  19
1.455  20

***

(7)
This entry pairs a crystal structure of Sm2BeCuSi2 with its simulated powder diffraction line list. Radiation: Cu Ka. Structure: a crystal structure in OQMD, relaxed with GGA-PBE.
Peak positions follow from Bragg's law for the DFT cell and can differ from measured ones.

Structural model:
Unit cell a=4.0117 b=4.0117 c=8.2523 alpha=90.00 beta=90.00 gamma=120.00
Sites, in units of the cell vectors:
Sm1 0.0000 0.0000 0.2498
Sm2 0.0000 0.0000 0.7502
Be1 0.3333 0.6667 0.0000
Cu1 0.6667 0.3333 0.5000
Si1 0.3333 0.6667 0.5000
Si2 0.6667 0.3333 0.0000

The 10 most intense peaks (2θ = 10–80°), by angle:
d [Å]  I (rel.)
4.126  10
3.474  42
2.658  100
2.063  11
2.006  30
1.774  13
1.601  21
1.438  20
1.279  10
1.251  19

***

(8)
This entry pairs a crystal structure of Ni16Te with its simulated powder diffraction line list. Radiation: Cu Ka. Structure: a crystal structure in OQMD, relaxed with GGA-PBE.
Peak positions follow from Bragg's law for the DFT cell and can differ from measured ones.

Structural model:
Unit cell a=10.4050 b=2.5897 c=28.0042 alpha=90.00 beta=90.66 gamma=90.00
Sites, in units of the cell vectors:
Ni1 0.0238 0.2500 0.2210
Ni2 0.0279 0.2500 0.9637
Ni3 0.0836 0.7500 0.1520
Ni4 0.0839 0.7500 0.8912
Ni5 0.1383 0.2500 0.0799
Ni6 0.1416 0.2500 0.8174
Ni7 0.1942 0.7500 0.0075
Ni8 0.2476 0.2500 0.1971
Ni9 0.2499 0.2500 0.9351
Ni10 0.3040 0.7500 0.8627
Ni11 0.3053 0.7500 0.1228
Ni12 0.3591 0.2500 0.7915
Ni13 0.3610 0.2500 0.0507
Ni14 0.4162 0.7500 0.9785
Ni15 0.4723 0.2500 0.1658
Ni16 0.4718 0.2500 0.9064
Ni17 0.5282 0.7500 0.0936
Ni18 0.5277 0.7500 0.8342
Ni19 0.5838 0.2500 0.0215
Ni20 0.6390 0.7500 0.9493
Ni21 0.6409 0.7500 0.2085
Ni22 0.6947 0.2500 0.8772
Ni23 0.6960 0.2500 0.1373
Ni24 0.7501 0.7500 0.0649
Ni25 0.7524 0.7500 0.8029
Ni26 0.8058 0.2500 0.9925
Ni27 0.8584 0.7500 0.1826
Ni28 0.8617 0.7500 0.9201
Ni29 0.9161 0.2500 0.1088
Ni30 0.9164 0.2500 0.8480
Ni31 0.9721 0.7500 0.0363
Ni32 0.9762 0.7500 0.7790
Te1 0.4192 0.7500 0.2494
Te2 0.5808 0.2500 0.7506

The 10 most intense peaks (2θ = 10–80°), by angle:
d [Å]  I (rel.)
2.125  95
2.064  51
2.039  100
2.026  31
1.988  53
1.946  47
1.804  43
1.779  73
1.750  47
1.295  21

***

(9)
This entry pairs a crystal structure of TmPS4 with its simulated powder diffraction line list. Radiation: Cu Ka. Structure: a crystal structure in OQMD, relaxed with GGA-PBE.
Peak positions follow from Bragg's law for the DFT cell and can differ from measured ones.

Structural model:
Unit cell a=12.0873 b=12.0873 c=12.0873 alpha=127.64 beta=127.64 gamma=77.20
Sites, in units of the cell vectors:
Tm1 0.1250 0.3750 0.7500
Tm2 0.1250 0.8750 0.2500
Tm3 0.3750 0.1250 0.2500
Tm4 0.3750 0.6250 0.7500
Tm5 0.6250 0.3750 0.2500
Tm6 0.6250 0.8750 0.7500
Tm7 0.8750 0.1250 0.7500
Tm8 0.8750 0.6250 0.2500
P1 0.2123 0.2500 0.4623
P2 0.2500 0.2877 0.0377
P3 0.2500 0.7877 0.5377
P4 0.2877 0.7500 0.0377
P5 0.7123 0.2500 0.9623
P6 0.7500 0.2123 0.4623
P7 0.7500 0.7123 0.9623
P8 0.7877 0.7500 0.5377
S1 0.0819 0.8831 0.4723
S2 0.0892 0.3905 0.9723
S3 0.0932 0.6641 0.9390
S4 0.1095 0.4108 0.5277
S5 0.1169 0.0892 0.1988
S6 0.1542 0.0932 0.9291
S7 0.1641 0.5932 0.4390
S8 0.2251 0.1542 0.5610
S9 0.2749 0.8359 0.9291
S10 0.3359 0.7749 0.4291
S11 0.3458 0.2749 0.9390
S12 0.3831 0.5819 0.9723
S13 0.3905 0.9181 0.3012
S14 0.4068 0.3458 0.5709
S15 0.4108 0.3831 0.3012
S16 0.4181 0.8905 0.8012
S17 0.5819 0.1095 0.1988
S18 0.5892 0.6169 0.6988
S19 0.5932 0.6542 0.4291
S20 0.6095 0.0819 0.6988
S21 0.6169 0.4181 0.0277
S22 0.6542 0.7251 0.0610
S23 0.6641 0.2251 0.5709
S24 0.7251 0.1641 0.0709
S25 0.7749 0.8458 0.4390
S26 0.8359 0.4068 0.5610
S27 0.8458 0.9068 0.0709
S28 0.8831 0.9108 0.8012
S29 0.8905 0.5892 0.4723
S30 0.9068 0.3359 0.0610
S31 0.9108 0.6095 0.0277
S32 0.9181 0.1169 0.5277

The 10 most intense peaks (2θ = 10–80°), by angle:
d [Å]  I (rel.)
5.332  100
3.536  62
2.947  50
2.666  19
2.385  33
2.322  39
2.159  23
2.129  50
1.678  16
1.588  17

***

(10)
This entry pairs a crystal structure of HoRe2 with its simulated powder diffraction line list. Radiation: Cu Ka. Structure: a crystal structure in OQMD, relaxed with GGA-PBE.
Peak positions follow from Bragg's law for the DFT cell and can differ from measured ones.

Structural model:
Unit cell a=5.3947 b=5.3947 c=5.3947 alpha=60.00 beta=60.00 gamma=60.00
Sites, in units of the cell vectors:
Ho1 0.1250 0.1250 0.1250
Ho2 0.8750 0.8750 0.8750
Re1 0.0000 0.5000 0.5000
Re2 0.5000 0.0000 0.5000
Re3 0.5000 0.5000 0.0000
Re4 0.5000 0.5000 0.5000

The 10 most intense peaks (2θ = 10–80°), by angle:
d [Å]  I (rel.)
4.405  9
2.697  23
2.300  100
2.202  45
1.907  7
1.750  2
1.557  9
1.468  33
1.349  29
1.206  4

***

(11)
This entry pairs a crystal structure of Ta4Nb2Tl3C3 with its simulated powder diffraction line list. Radiation: Cu Ka. Structure: a crystal structure in OQMD, relaxed with GGA-PBE.
Peak positions follow from Bragg's law for the DFT cell and can differ from measured ones.

Structural model:
Unit cell a=5.5807 b=5.5807 c=14.8348 alpha=100.87 beta=100.87 gamma=60.00
Sites, in units of the cell vectors:
Ta1 0.0231 0.1972 0.0801
Ta2 0.1436 0.3064 0.4199
Ta3 0.1972 0.0231 0.5801
Ta4 0.3064 0.1436 0.9199
Ta5 0.6936 0.8564 0.0801
Ta6 0.8028 0.9769 0.4199
Ta7 0.8564 0.6936 0.5801
Ta8 0.9769 0.8028 0.9199
Nb1 0.3646 0.5274 0.0820
Nb2 0.4726 0.6354 0.4180
Nb3 0.5274 0.3646 0.5820
Nb4 0.6354 0.4726 0.9180
Tl1 0.0801 0.9199 0.2500
Tl2 0.2500 0.4144 0.7490
Tl3 0.4144 0.2500 0.2490
Tl4 0.5856 0.7500 0.7510
Tl5 0.7500 0.5856 0.2510
Tl6 0.9199 0.0801 0.7500
C1 0.0000 0.5000 0.0000
C2 0.1597 0.6701 0.5000
C3 0.3299 0.8403 0.0000
C4 0.5000 0.0000 0.5000
C5 0.6701 0.1597 0.0000
C6 0.8403 0.3299 0.5000

The 10 most intense peaks (2θ = 10–80°), by angle:
d [Å]  I (rel.)
3.616  2
2.790  19
2.415  100
1.825  13
1.611  17
1.394  17
1.340  27
1.339  3
1.208  3
1.207  2